# Pa5Rh
Calculated powder diffraction line list, Cu Kα. Input: the PBE geometry in Alexandria.
Peak positions follow from Bragg's law for the DFT cell and can differ from measured ones.

Structural model:
```
data_Pa5Rh
_cell_length_a 8.199
_cell_length_b 8.199
_cell_length_c 4.140
_cell_angle_alpha 90.00
_cell_angle_beta 90.00
_cell_angle_gamma 150.61
_symmetry_space_group_name_H-M 'P 1'
_symmetry_Int_Tables_number 1
_symmetry_space_group_name_Hall 'P 1'
loop_
_atom_site_label
_atom_site_fract_x
_atom_site_fract_y
_atom_site_fract_z
Pa1 0.000 0.000 0.000
Pa2 0.164 0.836 0.500
Pa3 0.329 0.671 0.000
Pa4 0.671 0.329 0.000
Pa5 0.836 0.164 0.500
Rh1 0.500 0.500 0.500
```

Most intense lines, 10° ≤ 2θ ≤ 90°, in order of rising 2θ:
two_theta  intensity
33.91  27
34.97  100
43.52  14
43.73  14
56.28  13
56.46  13
61.36  20
73.87  12
74.35  12
74.65  12

***

# AlZn2Pb
Calculated powder diffraction line list, Cu Kα. Input: the PBE geometry in Alexandria.
Peak positions follow from Bragg's law for the DFT cell and can differ from measured ones.

Structural model:
```
data_AlZn2Pb
_cell_length_a 5.552
_cell_length_b 5.552
_cell_length_c 5.552
_cell_angle_alpha 142.39
_cell_angle_beta 125.41
_cell_angle_gamma 68.19
_symmetry_space_group_name_H-M 'P 1'
_symmetry_Int_Tables_number 1
_symmetry_space_group_name_Hall 'P 1'
loop_
_atom_site_label
_atom_site_fract_x
_atom_site_fract_y
_atom_site_fract_z
Al1 0.000 0.000 0.000
Zn1 0.552 0.552 0.000
Zn2 0.772 0.272 0.500
Pb1 0.278 0.778 0.500
```

Most intense lines, 10° ≤ 2θ ≤ 90°, in order of rising 2θ:
two_theta  intensity
19.30  28
19.93  25
26.72  19
30.52  18
34.14  14
35.25  28
36.37  100
39.18  19
53.72  15
63.99  19